(1)
For CeSiP3, a structure optimized by DFT (PBE) gives the computed PXRD pattern in this record (Cu Kα (weighted mean of Kα1 and Kα2)).
No peak broadening, texture or thermal motion is included.

Lattice parameters (Å, degrees): 5.858 24.574 5.672 90.00 90.00 90.00
Space group Pna2_1 (No. 33)
Inequivalent atoms, fractional coordinates:
Ce (0.022, 0.087, 0.000)
Ce (0.025, 0.405, 0.498)
Si (0.057, 0.795, 0.085)
Si (0.116, 0.292, 0.081)
P (0.014, 0.375, 0.995)
P (0.019, 0.790, 0.475)
P (0.030, 0.121, 0.495)
P (0.083, 0.285, 0.472)
P (0.188, 0.503, 0.215)
P (0.192, 0.501, 0.802)

Largest 10 diffraction maxima, most intense first, 10° ≤ 2θ ≤ 80°:
2θ (°), I/Imax
23.0, 100
26.2, 76
36.6, 64
31.5, 43
30.5, 41
44.5, 40
38.6, 37
37.8, 34
21.7, 34
36.6, 31

---

(2)
For CePa3, a structure optimized by DFT (PBE) gives the computed PXRD pattern in this record (Cu Kα (weighted mean of Kα1 and Kα2)).
No peak broadening, texture or thermal motion is included.

Lattice parameters (Å, degrees): 4.653 4.653 4.653 90.00 90.00 90.00
Space group Pm-3m (No. 221)
Inequivalent atoms, fractional coordinates:
Ce (0.000, 0.000, 0.000)
Pa (0.000, 0.500, 0.500)

Largest 10 diffraction maxima, most intense first, 10° ≤ 2θ ≤ 80°:
2θ (°), I/Imax
33.4, 100
38.7, 50
66.7, 42
55.9, 35
70.0, 12
19.1, 3
27.1, 3
43.5, 2
47.9, 1
59.6, 1

---

(3)
For Ce3Pa, a structure optimized by DFT (PBE) gives the computed PXRD pattern in this record (Cu Kα (weighted mean of Kα1 and Kα2)).
No peak broadening, texture or thermal motion is included.

Lattice parameters (Å, degrees): 6.5060 6.5060 5.6657 90.00 90.00 120.00
Space group P6_3/mmc (No. 194)
Inequivalent atoms, fractional coordinates:
Ce (0.1698, 0.3395, 0.2500)
Pa (0.3333, 0.6667, 0.7500)

Largest 10 diffraction maxima, most intense first, 10° ≤ 2θ ≤ 80°:
2θ (°), I/Imax
35.6, 100
31.6, 31
58.9, 24
31.8, 23
66.3, 22
45.4, 19
56.6, 18
68.7, 15
22.3, 5
75.4, 4

---

(4)
For CePb2, a structure optimized by DFT (PBE) gives the computed PXRD pattern in this record (Cu Kα (weighted mean of Kα1 and Kα2)).
No peak broadening, texture or thermal motion is included.

Lattice parameters (Å, degrees): 3.394 3.394 15.671 90.00 90.00 90.00
Space group I4/mmm (No. 139)
Inequivalent atoms, fractional coordinates:
Ce (0.000, 0.000, 0.000)
Pb (0.000, 0.000, 0.341)

Largest 10 diffraction maxima, most intense first, 10° ≤ 2θ ≤ 80°:
2θ (°), I/Imax
31.4, 100
37.5, 32
63.9, 27
51.7, 24
34.3, 19
59.7, 14
65.6, 12
54.0, 11
79.9, 4
26.9, 3

---

(5)
For CePb3, a structure optimized by DFT (PBE) gives the computed PXRD pattern in this record (Cu Kα (weighted mean of Kα1 and Kα2)).
No peak broadening, texture or thermal motion is included.

Lattice parameters (Å, degrees): 4.890 4.890 4.890 90.00 90.00 90.00
Space group Pm-3m (No. 221)
Inequivalent atoms, fractional coordinates:
Ce (0.000, 0.000, 0.000)
Pb (0.000, 0.500, 0.500)

Largest 10 diffraction maxima, most intense first, 10° ≤ 2θ ≤ 80°:
2θ (°), I/Imax
31.7, 100
36.8, 51
63.1, 43
53.0, 36
66.2, 13
78.2, 6
18.1, 2
25.8, 2
41.3, 1
45.4, 1

---

(6)
For Ce8Pd24Pb, a structure optimized by DFT (PBE) gives the computed PXRD pattern in this record (Cu Kα (weighted mean of Kα1 and Kα2)).
No peak broadening, texture or thermal motion is included.

Lattice parameters (Å, degrees): 8.514 8.514 8.514 90.00 90.00 90.00
Space group Pm-3m (No. 221)
Inequivalent atoms, fractional coordinates:
Ce (0.248, 0.248, 0.248)
Pd (0.000, 0.000, 0.322)
Pd (0.000, 0.268, 0.500)
Pd (0.255, 0.500, 0.500)
Pb (0.000, 0.000, 0.000)

Largest 10 diffraction maxima, most intense first, 10° ≤ 2θ ≤ 80°:
2θ (°), I/Imax
36.6, 100
42.5, 61
61.6, 34
73.8, 28
38.1, 13
29.7, 10
77.7, 9
43.8, 9
39.6, 7
78.7, 7

---

(7)
For Ce2Pd2Pb, a structure optimized by DFT (PBE) gives the computed PXRD pattern in this record (Cu Kα (weighted mean of Kα1 and Kα2)).
No peak broadening, texture or thermal motion is included.

Lattice parameters (Å, degrees): 7.951 7.951 3.779 90.00 90.00 90.00
Space group P4/mbm (No. 127)
Inequivalent atoms, fractional coordinates:
Ce (0.176, 0.324, 0.000)
Pd (0.126, 0.626, 0.500)
Pb (0.000, 0.000, 0.500)

Largest 10 diffraction maxima, most intense first, 10° ≤ 2θ ≤ 80°:
2θ (°), I/Imax
34.6, 100
35.7, 71
32.7, 63
61.4, 30
31.8, 23
64.7, 21
48.2, 19
43.2, 16
28.5, 15
54.7, 15

---

(8)
For Ce3Rh4Pb13, a structure optimized by DFT (PBE) gives the computed PXRD pattern in this record (Cu Kα (weighted mean of Kα1 and Kα2)).
No peak broadening, texture or thermal motion is included.

Lattice parameters (Å, degrees): 10.207 10.207 10.207 90.00 90.00 90.00
Space group Pm-3n (No. 223)
Inequivalent atoms, fractional coordinates:
Ce (0.000, 0.250, 0.500)
Rh (0.250, 0.250, 0.250)
Pb (0.000, 0.000, 0.000)
Pb (0.000, 0.307, 0.154)

Largest 10 diffraction maxima, most intense first, 10° ≤ 2θ ≤ 80°:
2θ (°), I/Imax
31.6, 100
32.8, 37
43.4, 20
55.5, 18
36.3, 17
52.3, 16
63.8, 14
35.2, 14
27.6, 11
57.8, 10

---

What did the second record say?
For CePa3, a structure optimized by DFT (PBE) gives the computed PXRD pattern in this record (Cu Kα (weighted mean of Kα1 and Kα2)).
No peak broadening, texture or thermal motion is included.

Lattice parameters (Å, degrees): 4.653 4.653 4.653 90.00 90.00 90.00
Space group Pm-3m (No. 221)
Inequivalent atoms, fractional coordinates:
Ce (0.000, 0.000, 0.000)
Pa (0.000, 0.500, 0.500)

Largest 10 diffraction maxima, most intense first, 10° ≤ 2θ ≤ 80°:
2θ (°), I/Imax
33.4, 100
38.7, 50
66.7, 42
55.9, 35
70.0, 12
19.1, 3
27.1, 3
43.5, 2
47.9, 1
59.6, 1